1.
For K, the GGA-PBE geometry in the Materials Project gives the simulated PXRD pattern in this record (Cu Kα (λ = 1.5418 Å)).
Peak positions follow from Bragg's law for the DFT cell and can differ from measured ones.

Structural model:
Cell lengths 11.4351, 11.4351, 11.4351 Å; angles 90.00, 90.00, 90.00 degrees
Atoms (fractional coordinates):
1 K 0.0473 0.1250 0.7973
2 K 0.0621 0.9379 0.4379
3 K 0.1250 0.7973 0.0473
4 K 0.1879 0.1879 0.1879
5 K 0.2027 0.5473 0.3750
6 K 0.2973 0.4527 0.8750
7 K 0.3121 0.8121 0.6879
8 K 0.3750 0.2027 0.5473
9 K 0.4379 0.0621 0.9379
10 K 0.4527 0.8750 0.2973
11 K 0.5473 0.3750 0.2027
12 K 0.5621 0.5621 0.5621
13 K 0.6250 0.7027 0.9527
14 K 0.6879 0.3121 0.8121
15 K 0.7027 0.9527 0.6250
16 K 0.7973 0.0473 0.1250
17 K 0.8121 0.6879 0.3121
18 K 0.8750 0.2973 0.4527
19 K 0.9379 0.4379 0.0621
20 K 0.9527 0.6250 0.7027

Main lines, in order of rising 2θ (15 to 90 degrees two-theta):
two_theta  I (rel.)
23.34  100
24.62  59
25.84  27
29.22  9
33.24  7
40.21  33
42.58  26
43.34  7
47.72  10
63.54  7

2.
For K, the GGA-PBE geometry in the Materials Project gives the simulated PXRD pattern in this record (Cu Kα (λ = 1.5418 Å)).
Peak positions follow from Bragg's law for the DFT cell and can differ from measured ones.

Structural model:
Cell lengths 14.1399, 14.1399, 14.1399 Å; angles 109.47, 109.47, 109.47 degrees
Atoms (fractional coordinates):
1 K 0.0000 0.0000 0.0000
2 K 0.0000 0.0000 0.6346
3 K 0.0000 0.1899 0.3732
4 K 0.0000 0.3732 0.1899
5 K 0.0000 0.4036 0.6820
6 K 0.0000 0.6346 0.0000
7 K 0.0000 0.6820 0.4036
8 K 0.1834 0.8101 0.8101
9 K 0.1899 0.0000 0.3732
10 K 0.1899 0.3732 0.0000
11 K 0.2784 0.5964 0.5964
12 K 0.3180 0.3180 0.7216
13 K 0.3180 0.7216 0.3180
14 K 0.3654 0.3654 0.3654
15 K 0.3732 0.0000 0.1899
16 K 0.3732 0.1899 0.0000
17 K 0.4036 0.0000 0.6820
18 K 0.4036 0.6820 0.0000
19 K 0.5964 0.2784 0.5964
20 K 0.5964 0.5964 0.2784
21 K 0.6268 0.6268 0.8166
22 K 0.6268 0.8166 0.6268
23 K 0.6346 0.0000 0.0000
24 K 0.6820 0.0000 0.4036
25 K 0.6820 0.4036 0.0000
26 K 0.7216 0.3180 0.3180
27 K 0.8101 0.1834 0.8101
28 K 0.8101 0.8101 0.1834
29 K 0.8166 0.6268 0.6268

Main lines, in order of rising 2θ (15 to 90 degrees two-theta):
two_theta  I (rel.)
21.77  7
23.11  100
25.59  31
26.75  11
27.86  15
38.19  6
39.01  11
40.60  29
43.65  6
47.24  9

3.
For K, the GGA-PBE geometry in the Materials Project gives the simulated PXRD pattern in this record (Cu Kα (λ = 1.5418 Å)).
Peak positions follow from Bragg's law for the DFT cell and can differ from measured ones.

Structural model:
Cell lengths 10.9117, 10.9117, 10.9117 Å; angles 96.88, 96.88, 139.49 degrees
Atoms (fractional coordinates):
1 K 0.0828 0.7986 0.8814
2 K 0.2014 0.0828 0.2841
3 K 0.2986 0.5828 0.8814
4 K 0.4172 0.2986 0.7159
5 K 0.5828 0.7014 0.2841
6 K 0.7014 0.4172 0.1186
7 K 0.7986 0.9172 0.7159
8 K 0.9172 0.2014 0.1186

Main lines, in order of rising 2θ (15 to 90 degrees two-theta):
two_theta  I (rel.)
17.33  32
18.04  49
19.39  34
23.55  44
25.12  100
28.02  94
30.68  20
43.62  21
44.25  40
50.72  24

4.
For K, the GGA-PBE geometry in the Materials Project gives the simulated PXRD pattern in this record (Cu Kα (λ = 1.5418 Å)).
Peak positions follow from Bragg's law for the DFT cell and can differ from measured ones.

Structural model:
Cell lengths 8.6573, 8.6573, 8.9148 Å; angles 90.00, 90.00, 62.33 degrees
Atoms (fractional coordinates):
1 K 0.1810 0.8190 0.8198
2 K 0.2213 0.2213 0.5000
3 K 0.2787 0.2787 0.0000
4 K 0.3190 0.6810 0.3198
5 K 0.6810 0.3190 0.6802
6 K 0.7213 0.7213 0.0000
7 K 0.7787 0.7787 0.5000
8 K 0.8190 0.1810 0.1802

Main lines, in order of rising 2θ (15 to 90 degrees two-theta):
two_theta  I (rel.)
22.21  11
22.85  20
23.08  20
23.25  100
24.03  28
25.29  15
28.24  24
28.76  11
37.41  14
46.89  11

5.
For K, the GGA-PBE geometry in the Materials Project gives the simulated PXRD pattern in this record (Cu Kα (λ = 1.5418 Å)).
Peak positions follow from Bragg's law for the DFT cell and can differ from measured ones.

Structural model:
Cell lengths 6.0642, 6.0642, 11.4137 Å; angles 90.00, 90.00, 90.00 degrees
Atoms (fractional coordinates):
1 K 0.0000 0.0000 0.0000
2 K 0.0000 0.5000 0.3047
3 K 0.0000 0.5000 0.6953
4 K 0.5000 0.0000 0.3047
5 K 0.5000 0.0000 0.6953

Main lines, in order of rising 2θ (15 to 90 degrees two-theta):
two_theta  I (rel.)
15.53  23
20.71  48
22.15  50
23.38  39
25.99  100
29.46  53
31.42  24
37.95  39
44.99  28
50.19  28

6.
For K, the GGA-PBE geometry in the Materials Project gives the simulated PXRD pattern in this record (Cu Kα (λ = 1.5418 Å)).
Peak positions follow from Bragg's law for the DFT cell and can differ from measured ones.

Structural model:
Cell lengths 7.8855, 7.8855, 8.6591 Å; angles 90.00, 90.00, 111.12 degrees
Atoms (fractional coordinates):
1 K 0.0000 0.0000 0.0000
2 K 0.0000 0.5000 0.2527
3 K 0.0000 0.5000 0.7473
4 K 0.5000 0.0000 0.2527
5 K 0.5000 0.0000 0.7473

Main lines, in order of rising 2θ (15 to 90 degrees two-theta):
two_theta  I (rel.)
19.91  29
20.51  27
24.20  100
24.70  95
27.43  36
28.74  63
31.93  33
40.15  46
47.98  27
48.81  25

7.
For K, the GGA-PBE geometry in the Materials Project gives the simulated PXRD pattern in this record (Cu Kα (λ = 1.5418 Å)).
Peak positions follow from Bragg's law for the DFT cell and can differ from measured ones.

Structural model:
Cell lengths 4.4147, 4.4147, 8.4398 Å; angles 104.48, 104.48, 90.29 degrees
Atoms (fractional coordinates):
1 K 0.1362 0.8638 0.7500
2 K 0.8638 0.1362 0.2500

Main lines, in order of rising 2θ (15 to 90 degrees two-theta):
two_theta  I (rel.)
20.84  77
20.96  100
22.53  73
26.21  56
26.50  41
30.73  94
31.04  31
35.13  24
40.89  26
44.99  30